The following is a computed powder XRD pattern of ScAs4Au. It was derived from DFT lattice parameters and positions (PBE), using Cu Ka.

```
data_ScAs4Au
_symmetry_space_group_name_H-M 'F -4 3 m'
_symmetry_Int_Tables_number 216
_symmetry_space_group_name_Hall 'F -4 2 3'
_cell_length_a 7.8148
_cell_length_b 7.8148
_cell_length_c 7.8148
_cell_angle_alpha 90.00
_cell_angle_beta 90.00
_cell_angle_gamma 90.00
loop_
_atom_site_label
_atom_site_fract_x
_atom_site_fract_y
_atom_site_fract_z
_atom_site_occupancy
Sc1 0.0000 0.0000 0.0000 1
As1 0.1236 0.1236 0.6236 1
Au1 0.2500 0.2500 0.2500 1
```

Most intense lines, 10° ≤ 2θ ≤ 80°, most intense first:
two_theta	d [Å]	I_rel
38.20	2.356	100
32.40	2.763	39
61.67	1.504	32
39.96	2.256	30
67.84	1.381	23
19.68	4.512	18
22.76	3.907	17
57.80	1.595	15